(1)
For Na4Al3Ge3BH4O12, a structure optimized by DFT (PBE) gives the computed XRD peak list in this record (Cu Kα (λ = 1.5418 Å)).
Kinematic intensities with the Lorentz-polarization factor, no thermal factor.

Atomic structure:
Lattice parameters (Å, degrees): 9.1398 9.1398 9.1398 90.00 90.00 90.00
Space group P-43n (No. 218)
Unique sites:
Na (0.1727, 0.1727, 0.1727) (multiplicity 8)
Al (0.0000, 0.2500, 0.5000) (multiplicity 6)
Ge (0.0000, 0.5000, 0.2500) (multiplicity 6)
B (0.0000, 0.0000, 0.0000) (multiplicity 2)
H (0.0777, 0.0777, 0.9223) (multiplicity 8)
O (0.0736, 0.3566, 0.6438) (multiplicity 24)

Most intense lines, 2θ = 5–70°, most intense first:
hkl 1 1 0, d 6.463, 13.70°, I = 100; hkl 2 1 1, d 3.731, 23.85°, I = 97; hkl 2 2 2, d 2.638, 33.98°, I = 54; hkl 2 1 0, d 4.087, 21.74°, I = 43; hkl 3 1 0, d 2.890, 30.94°, I = 33; hkl 3 2 1, d 2.443, 36.79°, I = 29; hkl 4 4 0, d 1.616, 57.00°, I = 27; hkl 4 1 1, d 2.154, 41.94°, I = 19; hkl 5 3 0, d 1.567, 58.92°, I = 18; hkl 6 2 2, d 1.378, 68.04°, I = 17; hkl 5 3 2, d 1.483, 62.66°, I = 14; hkl 4 3 1, d 1.792, 50.95°, I = 13


(2)
For U4Re7Si6, a structure optimized by DFT (PBE) gives the computed XRD peak list in this record (Cu Kα (λ = 1.5418 Å)).
Kinematic intensities with the Lorentz-polarization factor, no thermal factor.

Atomic structure:
Lattice parameters (Å, degrees): 8.2548 8.2548 8.2548 90.00 90.00 90.00
Space group Im-3m (No. 229)
Unique sites:
U (0.2500, 0.2500, 0.2500) (multiplicity 8)
Re (0.0000, 0.0000, 0.0000) (multiplicity 2)
Re (0.0000, 0.2500, 0.5000) (multiplicity 12)
Si (0.0000, 0.0000, 0.3096) (multiplicity 12)

Most intense lines, 2θ = 5–70°, most intense first:
hkl 2 2 2, d 2.383, 37.75°, I = 100; hkl 4 0 0, d 2.064, 43.87°, I = 69; hkl 4 4 0, d 1.459, 63.78°, I = 45; hkl 2 1 1, d 3.370, 26.45°, I = 43; hkl 3 2 1, d 2.206, 40.91°, I = 37; hkl 2 2 0, d 2.919, 30.63°, I = 33; hkl 4 2 2, d 1.685, 54.45°, I = 12; hkl 3 3 2, d 1.760, 51.96°, I = 12; hkl 1 1 0, d 5.837, 15.18°, I = 10; hkl 5 2 1, d 1.507, 61.53°, I = 7; hkl 2 0 0, d 4.127, 21.53°, I = 6; hkl 4 2 0, d 1.846, 49.37°, I = 4


(3)
For Zr6FeI14, a structure optimized by DFT (PBE) gives the computed XRD peak list in this record (Cu Kα (λ = 1.5418 Å)).
Kinematic intensities with the Lorentz-polarization factor, no thermal factor.

Atomic structure:
Lattice parameters (Å, degrees): 16.3257 15.0411 13.3697 90.00 90.00 90.00
Space group Cmce (No. 64)
Unique sites:
Zr (0.0000, 0.1367, 0.1002) (multiplicity 8)
Zr (0.1102, 0.0650, 0.8880) (multiplicity 16)
Fe (0.0000, 0.0000, 0.0000) (multiplicity 4)
I (0.0000, 0.1499, 0.7389) (multiplicity 8)
I (0.1233, 0.2370, 0.9904) (multiplicity 16)
I (0.1240, 0.0892, 0.2455) (multiplicity 16)
I (0.2504, 0.0000, 0.0000) (multiplicity 8)
I (0.2500, 0.1468, 0.7500) (multiplicity 8)

Most intense lines, 2θ = 5–70°, most intense first:
hkl 1 1 1, d 8.523, 10.38°, I = 100; hkl 4 2 3, d 2.794, 32.03°, I = 82; hkl 4 2 2, d 3.161, 28.23°, I = 80; hkl 0 4 2, d 3.277, 27.21°, I = 74; hkl 4 6 0, d 2.136, 42.31°, I = 42; hkl 4 2 1, d 3.465, 25.71°, I = 34; hkl 0 0 4, d 3.342, 26.67°, I = 30; hkl 8 4 2, d 1.732, 52.85°, I = 30; hkl 0 4 3, d 2.874, 31.12°, I = 25; hkl 4 2 6, d 1.893, 48.07°, I = 24; hkl 8 0 0, d 2.041, 44.39°, I = 24; hkl 4 2 5, d 2.144, 42.15°, I = 21


(4)
For Ba8CaY3Cu12O24, a structure optimized by DFT (PBE) gives the computed XRD peak list in this record (Cu Kα (λ = 1.5418 Å)).
Kinematic intensities with the Lorentz-polarization factor, no thermal factor.

Atomic structure:
Lattice parameters (Å, degrees): 15.5100 7.7237 12.7400 90.00 107.75 90.00
Space group C2/m (No. 12)
Unique sites:
Ba (0.0753, 0.0000, 0.3014) (multiplicity 4)
Ba (0.0761, 0.5000, 0.3048) (multiplicity 4)
Ba (0.1737, 0.0000, 0.6955) (multiplicity 4)
Ba (0.1739, 0.5000, 0.6956) (multiplicity 4)
Ca (0.0000, 0.0000, 0.0000) (multiplicity 2)
Y (0.0000, 0.5000, 0.0000) (multiplicity 2)
Y (0.2488, 0.0000, 0.0000) (multiplicity 4)
Cu (0.0000, 0.2498, 0.5000) (multiplicity 4)
Cu (0.0905, 0.2495, 0.8635) (multiplicity 8)
Cu (0.1587, 0.2496, 0.1365) (multiplicity 8)
Cu (0.2500, 0.2500, 0.5000) (multiplicity 4)
O (0.0315, 0.2580, 0.1251) (multiplicity 8)
O (0.0375, 0.2499, 0.6488) (multiplicity 8)
O (0.0965, 0.5000, 0.8811) (multiplicity 4)
O (0.0981, 0.0000, 0.8760) (multiplicity 4)
O (0.1559, 0.5000, 0.1188) (multiplicity 4)
O (0.1600, 0.0000, 0.1238) (multiplicity 4)
O (0.2130, 0.2499, 0.3512) (multiplicity 8)
O (0.2202, 0.2500, 0.8799) (multiplicity 8)

Most intense lines, 2θ = 5–70°, most intense first:
hkl 0 2 3, d 2.796, 32.01°, I = 100; hkl 4 2 -1, d 2.736, 32.73°, I = 60; hkl 4 0 1, d 3.263, 27.34°, I = 20; hkl 8 2 1, d 1.593, 57.90°, I = 18; hkl 4 4 2, d 1.589, 58.03°, I = 18; hkl 8 0 -2, d 1.939, 46.86°, I = 17; hkl 0 4 0, d 1.931, 47.06°, I = 16; hkl 4 0 3, d 2.387, 37.68°, I = 16; hkl 0 0 5, d 2.427, 37.05°, I = 10; hkl 8 4 -2, d 1.368, 68.59°, I = 10; hkl 4 2 2, d 2.266, 39.77°, I = 9; hkl 4 2 4, d 1.816, 50.25°, I = 9


Please write out number 1 again, unchanged.
For Na4Al3Ge3BH4O12, a structure optimized by DFT (PBE) gives the computed XRD peak list in this record (Cu Kα (λ = 1.5418 Å)).
Kinematic intensities with the Lorentz-polarization factor, no thermal factor.

Atomic structure:
Lattice parameters (Å, degrees): 9.1398 9.1398 9.1398 90.00 90.00 90.00
Space group P-43n (No. 218)
Unique sites:
Na (0.1727, 0.1727, 0.1727) (multiplicity 8)
Al (0.0000, 0.2500, 0.5000) (multiplicity 6)
Ge (0.0000, 0.5000, 0.2500) (multiplicity 6)
B (0.0000, 0.0000, 0.0000) (multiplicity 2)
H (0.0777, 0.0777, 0.9223) (multiplicity 8)
O (0.0736, 0.3566, 0.6438) (multiplicity 24)

Most intense lines, 2θ = 5–70°, most intense first:
hkl 1 1 0, d 6.463, 13.70°, I = 100; hkl 2 1 1, d 3.731, 23.85°, I = 97; hkl 2 2 2, d 2.638, 33.98°, I = 54; hkl 2 1 0, d 4.087, 21.74°, I = 43; hkl 3 1 0, d 2.890, 30.94°, I = 33; hkl 3 2 1, d 2.443, 36.79°, I = 29; hkl 4 4 0, d 1.616, 57.00°, I = 27; hkl 4 1 1, d 2.154, 41.94°, I = 19; hkl 5 3 0, d 1.567, 58.92°, I = 18; hkl 6 2 2, d 1.378, 68.04°, I = 17; hkl 5 3 2, d 1.483, 62.66°, I = 14; hkl 4 3 1, d 1.792, 50.95°, I = 13